No. 1
Computed powder XRD pattern of Eu6Ni20P13 for a wavelength of 1.5418 Å, from a cell relaxed with GGA-PBE.

Atomic structure:
Cell: 12.792 12.792 3.795 Å, 90.00 90.00 120.00°
Element x y z (fractional)
Eu 0.052 0.854 0.000
Eu 0.146 0.198 0.000
Eu 0.521 0.136 0.500
Eu 0.614 0.479 0.500
Eu 0.802 0.948 0.000
Eu 0.864 0.386 0.500
Ni 0.000 0.000 0.500
Ni 0.020 0.599 0.000
Ni 0.092 0.351 0.500
Ni 0.141 0.564 0.500
Ni 0.251 0.740 0.000
Ni 0.259 0.908 0.500
Ni 0.260 0.511 0.000
Ni 0.310 0.079 0.000
Ni 0.356 0.251 0.500
Ni 0.401 0.420 0.000
Ni 0.423 0.859 0.500
Ni 0.436 0.577 0.500
Ni 0.489 0.749 0.000
Ni 0.580 0.980 0.000
Ni 0.649 0.741 0.500
Ni 0.667 0.333 0.000
Ni 0.749 0.106 0.500
Ni 0.769 0.690 0.000
Ni 0.894 0.644 0.500
Ni 0.921 0.231 0.000
P 0.059 0.436 0.000
P 0.100 0.712 0.500
P 0.201 0.051 0.500
P 0.288 0.388 0.500
P 0.333 0.667 0.500
P 0.377 0.941 0.000
P 0.464 0.279 0.000
P 0.564 0.623 0.000
P 0.612 0.900 0.500
P 0.721 0.185 0.000
P 0.815 0.536 0.000
P 0.851 0.799 0.500
P 0.949 0.149 0.500

Peak list (10 most intense, 10 to 90 degrees two-theta, low angle first)
2θ = 29.06°, rel. 118
2θ = 36.75°, rel. 194
2θ = 37.19°, rel. 140
2θ = 37.67°, rel. 1000
2θ = 43.21°, rel. 111
2θ = 45.59°, rel. 110
2θ = 47.95°, rel. 219
2θ = 51.52°, rel. 184
2θ = 57.33°, rel. 127
2θ = 73.01°, rel. 133

---

No. 2
Computed powder XRD pattern of EuNiP for a wavelength of 1.5418 Å, from a cell relaxed with GGA-PBE.

Atomic structure:
Cell: 3.915 3.915 4.218 Å, 90.00 90.00 120.00°
Element x y z (fractional)
Eu 0.000 0.000 0.000
Ni 0.667 0.333 0.500
P 0.333 0.667 0.500

Peak list (10 most intense, 10 to 90 degrees two-theta, low angle first)
2θ = 26.28°, rel. 269
2θ = 33.92°, rel. 1000
2θ = 42.88°, rel. 129
2θ = 46.38°, rel. 306
2θ = 50.99°, rel. 93
2θ = 58.69°, rel. 200
2θ = 65.00°, rel. 217
2θ = 72.82°, rel. 105
2θ = 77.91°, rel. 175
2θ = 86.01°, rel. 51

---

No. 3
Computed powder XRD pattern of Eu2Ni3Sb4 for a wavelength of 1.5418 Å, from a cell relaxed with GGA-PBE.

Atomic structure:
Cell: 4.371 4.371 10.571 Å, 90.00 90.00 90.00°
Element x y z (fractional)
Eu 0.000 0.500 0.245
Eu 0.500 0.000 0.755
Ni 0.000 0.000 0.000
Ni 0.000 0.000 0.500
Ni 0.500 0.500 0.500
Sb 0.000 0.500 0.618
Sb 0.000 0.500 0.895
Sb 0.500 0.000 0.105
Sb 0.500 0.000 0.382

Peak list (10 most intense, 10 to 90 degrees two-theta, low angle first)
2θ = 28.89°, rel. 463
2θ = 32.64°, rel. 1000
2θ = 33.59°, rel. 314
2θ = 41.31°, rel. 485
2θ = 47.79°, rel. 147
2θ = 53.62°, rel. 482
2θ = 59.85°, rel. 158
2θ = 60.49°, rel. 167
2θ = 64.98°, rel. 117
2θ = 84.52°, rel. 132

---

No. 4
Computed powder XRD pattern of Eu2Si3Ni8 for a wavelength of 1.5418 Å, from a cell relaxed with GGA-PBE.

Atomic structure:
Cell: 10.319 10.319 7.232 Å, 90.00 90.00 90.00°
Element x y z (fractional)
Eu 0.008 0.250 0.114
Eu 0.250 0.008 0.614
Eu 0.250 0.492 0.614
Eu 0.492 0.250 0.114
Eu 0.508 0.750 0.886
Eu 0.750 0.508 0.386
Eu 0.750 0.992 0.386
Eu 0.992 0.750 0.886
Si 0.033 0.533 0.250
Si 0.033 0.967 0.250
Si 0.250 0.750 0.017
Si 0.250 0.750 0.483
Si 0.467 0.533 0.250
Si 0.467 0.967 0.250
Si 0.533 0.033 0.750
Si 0.533 0.467 0.750
Si 0.750 0.250 0.517
Si 0.750 0.250 0.983
Si 0.967 0.033 0.750
Si 0.967 0.467 0.750
Ni 0.030 0.129 0.473
Ni 0.030 0.371 0.473
Ni 0.090 0.750 0.286
Ni 0.129 0.030 0.973
Ni 0.129 0.470 0.973
Ni 0.135 0.250 0.755
Ni 0.250 0.135 0.255
Ni 0.250 0.365 0.255
Ni 0.250 0.590 0.214
Ni 0.250 0.910 0.214
Ni 0.365 0.250 0.755
Ni 0.371 0.030 0.973
Ni 0.371 0.470 0.973
Ni 0.410 0.750 0.286
Ni 0.470 0.129 0.473
Ni 0.470 0.371 0.473
Ni 0.530 0.629 0.527
Ni 0.530 0.871 0.527
Ni 0.590 0.250 0.714
Ni 0.629 0.530 0.027
Ni 0.629 0.970 0.027
Ni 0.635 0.750 0.245
Ni 0.750 0.090 0.786
Ni 0.750 0.410 0.786
Ni 0.750 0.635 0.745
Ni 0.750 0.865 0.745
Ni 0.865 0.750 0.245
Ni 0.871 0.530 0.027
Ni 0.871 0.970 0.027
Ni 0.910 0.250 0.714
Ni 0.970 0.629 0.527
Ni 0.970 0.871 0.527

Peak list (10 most intense, 10 to 90 degrees two-theta, low angle first)
2θ = 24.40°, rel. 631
2θ = 31.43°, rel. 374
2θ = 34.78°, rel. 443
2θ = 36.04°, rel. 342
2θ = 38.05°, rel. 498
2θ = 38.34°, rel. 327
2θ = 41.06°, rel. 1000
2θ = 42.30°, rel. 416
2θ = 45.72°, rel. 500
2θ = 46.69°, rel. 543

---

No. 5
Computed powder XRD pattern of EuSi2Ni for a wavelength of 1.5418 Å, from a cell relaxed with GGA-PBE.

Atomic structure:
Cell: 8.558 8.558 4.035 Å, 90.00 90.00 151.81°
Element x y z (fractional)
Eu 0.107 0.893 0.750
Eu 0.893 0.107 0.250
Si 0.249 0.751 0.250
Si 0.459 0.541 0.750
Si 0.541 0.459 0.250
Si 0.751 0.249 0.750
Ni 0.319 0.681 0.750
Ni 0.681 0.319 0.250

Peak list (10 most intense, 10 to 90 degrees two-theta, low angle first)
2θ = 21.41°, rel. 311
2θ = 24.53°, rel. 292
2θ = 30.91°, rel. 274
2θ = 31.32°, rel. 823
2θ = 34.54°, rel. 790
2θ = 34.94°, rel. 1000
2θ = 39.49°, rel. 403
2θ = 43.41°, rel. 354
2θ = 44.93°, rel. 321
2θ = 57.88°, rel. 347

---

No. 6
Computed powder XRD pattern of EuSi2Ni2 for a wavelength of 1.5418 Å, from a cell relaxed with GGA-PBE.

Atomic structure:
Cell: 5.646 5.646 5.646 Å, 138.15 138.15 60.68°
Element x y z (fractional)
Eu 0.000 0.000 0.000
Si 0.369 0.369 0.000
Si 0.631 0.631 0.000
Ni 0.250 0.750 0.500
Ni 0.750 0.250 0.500

Peak list (10 most intense, 10 to 90 degrees two-theta, low angle first)
2θ = 23.88°, rel. 474
2θ = 35.48°, rel. 544
2θ = 36.51°, rel. 1000
2θ = 36.89°, rel. 161
2θ = 44.95°, rel. 407
2θ = 52.12°, rel. 155
2θ = 58.54°, rel. 251
2θ = 59.51°, rel. 154
2θ = 66.22°, rel. 188
2θ = 77.34°, rel. 210

---

No. 7
Computed powder XRD pattern of Eu2Si3Ni8 for a wavelength of 1.5418 Å, from a cell relaxed with GGA-PBE.

Atomic structure:
Cell: 9.989 9.989 7.488 Å, 90.00 90.00 90.00°
Element x y z (fractional)
Eu 0.044 0.750 0.108
Eu 0.250 0.544 0.392
Eu 0.250 0.956 0.392
Eu 0.456 0.750 0.108
Eu 0.544 0.250 0.892
Eu 0.750 0.044 0.608
Eu 0.750 0.456 0.608
Eu 0.956 0.250 0.892
Si 0.042 0.542 0.750
Si 0.042 0.958 0.750
Si 0.250 0.250 0.015
Si 0.250 0.250 0.515
Si 0.458 0.542 0.750
Si 0.458 0.958 0.750
Si 0.542 0.042 0.250
Si 0.542 0.458 0.250
Si 0.750 0.750 0.485
Si 0.750 0.750 0.985
Si 0.958 0.042 0.250
Si 0.958 0.458 0.250
Ni 0.043 0.123 0.532
Ni 0.043 0.377 0.532
Ni 0.113 0.250 0.257
Ni 0.122 0.750 0.648
Ni 0.123 0.043 0.032
Ni 0.123 0.457 0.032
Ni 0.250 0.113 0.757
Ni 0.250 0.387 0.757
Ni 0.250 0.622 0.852
Ni 0.250 0.878 0.852
Ni 0.377 0.043 0.032
Ni 0.377 0.457 0.032
Ni 0.378 0.750 0.648
Ni 0.387 0.250 0.257
Ni 0.457 0.123 0.532
Ni 0.457 0.377 0.532
Ni 0.543 0.623 0.468
Ni 0.543 0.877 0.468
Ni 0.613 0.750 0.743
Ni 0.622 0.250 0.352
Ni 0.623 0.543 0.968
Ni 0.623 0.957 0.968
Ni 0.750 0.122 0.148
Ni 0.750 0.378 0.148
Ni 0.750 0.613 0.243
Ni 0.750 0.887 0.243
Ni 0.877 0.543 0.968
Ni 0.877 0.957 0.968
Ni 0.878 0.250 0.352
Ni 0.887 0.750 0.743
Ni 0.957 0.623 0.468
Ni 0.957 0.877 0.468

Peak list (10 most intense, 10 to 90 degrees two-theta, low angle first)
2θ = 25.22°, rel. 274
2θ = 31.17°, rel. 528
2θ = 34.52°, rel. 370
2θ = 36.10°, rel. 1000
2θ = 38.23°, rel. 268
2θ = 39.08°, rel. 327
2θ = 41.44°, rel. 288
2θ = 42.22°, rel. 624
2θ = 45.50°, rel. 292
2θ = 55.24°, rel. 341

---

No. 8
Computed powder XRD pattern of EuSi2Ni9 for a wavelength of 1.5418 Å, from a cell relaxed with GGA-PBE.

Atomic structure:
Cell: 7.593 7.593 7.593 Å, 99.60 99.60 131.78°
Element x y z (fractional)
Eu 0.375 0.625 0.750
Eu 0.625 0.375 0.250
Si 0.000 0.000 0.000
Si 0.000 0.000 0.500
Si 0.000 0.500 0.000
Si 0.500 0.000 0.500
Ni 0.125 0.875 0.250
Ni 0.141 0.563 0.330
Ni 0.141 0.812 0.578
Ni 0.188 0.267 0.330
Ni 0.188 0.859 0.922
Ni 0.267 0.188 0.830
Ni 0.267 0.437 0.078
Ni 0.437 0.267 0.578
Ni 0.437 0.859 0.170
Ni 0.563 0.141 0.830
Ni 0.563 0.733 0.422
Ni 0.733 0.563 0.922
Ni 0.733 0.812 0.170
Ni 0.812 0.141 0.078
Ni 0.812 0.733 0.670
Ni 0.859 0.188 0.422
Ni 0.859 0.437 0.670
Ni 0.875 0.125 0.750

Peak list (10 most intense, 10 to 90 degrees two-theta, low angle first)
2θ = 30.93°, rel. 108
2θ = 36.07°, rel. 149
2θ = 41.18°, rel. 1000
2θ = 44.80°, rel. 148
2θ = 47.28°, rel. 98
2θ = 48.71°, rel. 217
2θ = 51.03°, rel. 102
2θ = 62.88°, rel. 104
2θ = 75.05°, rel. 183
2θ = 89.40°, rel. 108